1.
Theoretical X-ray powder pattern of PaBrCl3 for copper Kα, from a cell relaxed with GGA-PBE.
Lines closer than 0.1° are merged.

Atomic structure:
Lattice parameters (Å, degrees): 12.587 8.351 8.792 90.00 133.14 90.00
Space group C2/m (No. 12)
Inequivalent atoms, fractional coordinates:
1 Pa 0.000 0.243 0.000 x4
2 Br 0.209 0.500 0.183 x4
3 Cl 0.023 0.245 0.310 x8
4 Cl 0.198 0.000 0.174 x4

Top 10 peaks for 15° ≤ 2θ ≤ 90°, low angle first:
2theta	intensity
19.33	32
20.20	56
25.61	35
28.90	100
31.87	32
35.28	23
35.75	26
37.68	25
38.01	30
47.80	31

2.
Theoretical X-ray powder pattern of Rb2PdBr2Cl2 for copper Kα, from a cell relaxed with GGA-PBE.
Lines closer than 0.1° are merged.

Atomic structure:
Lattice parameters (Å, degrees): 10.150 11.064 4.486 90.00 90.00 90.00
Space group Cmmm (No. 65)
Inequivalent atoms, fractional coordinates:
1 Rb 0.250 0.250 0.000 x4
2 Pd 0.000 0.000 0.500 x2
3 Br 0.244 0.000 0.500 x4
4 Cl 0.000 0.212 0.500 x4

Top 10 peaks for 15° ≤ 2θ ≤ 90°, low angle first:
2theta	intensity
23.12	32
25.57	100
26.52	23
31.14	71
32.37	44
35.37	39
40.21	27
44.15	49
48.70	27
64.93	22

3.
Theoretical X-ray powder pattern of Pd2S2BrCl for copper Kα, from a cell relaxed with GGA-PBE.
Lines closer than 0.1° are merged.

Atomic structure:
Lattice parameters (Å, degrees): 3.507 5.132 7.949 90.00 90.00 90.00
Space group Pmm2 (No. 25)
Inequivalent atoms, fractional coordinates:
1 Pd 0.000 0.000 0.000 x1
2 Pd 0.500 0.500 0.236 x1
3 S 0.000 0.500 0.037 x1
4 S 0.500 0.000 0.197 x1
5 Br 0.000 0.500 0.467 x1
6 Cl 0.500 0.000 0.789 x1

Top 10 peaks for 15° ≤ 2θ ≤ 90°, low angle first:
2theta	intensity
20.60	100
32.92	38
34.09	86
34.97	45
42.77	15
45.65	13
46.46	30
49.64	57
52.16	13
64.35	14

4.
Theoretical X-ray powder pattern of Tl2PdBr2Cl2 for copper Kα, from a cell relaxed with GGA-PBE.
Lines closer than 0.1° are merged.

Atomic structure:
Lattice parameters (Å, degrees): 4.323 7.402 7.382 90.00 90.00 90.00
Space group Pmm2 (No. 25)
Inequivalent atoms, fractional coordinates:
1 Tl 0.000 0.000 0.000 x1
2 Tl 0.000 0.500 0.470 x1
3 Pd 0.500 0.000 0.483 x1
4 Br 0.500 0.235 0.719 x2
5 Cl 0.500 0.224 0.259 x2

Top 10 peaks for 15° ≤ 2θ ≤ 90°, low angle first:
2theta	intensity
16.96	45
24.08	18
26.76	100
31.86	66
34.31	53
41.79	16
44.04	49
49.22	18
55.14	27
59.91	18

5.
Theoretical X-ray powder pattern of Tl2PdBr3Cl for copper Kα, from a cell relaxed with GGA-PBE.
Lines closer than 0.1° are merged.

Atomic structure:
Lattice parameters (Å, degrees): 4.379 10.418 10.719 90.00 90.00 90.00
Space group Amm2 (No. 38)
Inequivalent atoms, fractional coordinates:
1 Tl 0.000 0.242 0.000 x4
2 Pd 0.500 0.000 0.249 x2
3 Br 0.500 0.000 0.479 x2
4 Br 0.500 0.237 0.248 x4
5 Cl 0.500 0.000 0.030 x2

Top 10 peaks for 15° ≤ 2θ ≤ 90°, low angle first:
2theta	intensity
17.02	37
26.28	79
26.59	52
31.48	100
33.44	42
34.43	37
41.23	23
43.22	26
43.83	38
48.76	26

6.
Theoretical X-ray powder pattern of Tl2PdBr2Cl2 for copper Kα, from a cell relaxed with GGA-PBE.
Lines closer than 0.1° are merged.

Atomic structure:
Lattice parameters (Å, degrees): 10.132 10.693 4.322 90.00 90.00 90.00
Space group Cmmm (No. 65)
Inequivalent atoms, fractional coordinates:
1 Tl 0.250 0.250 0.000 x4
2 Pd 0.000 0.000 0.500 x2
3 Br 0.243 0.000 0.500 x4
4 Cl 0.000 0.218 0.500 x4

Top 10 peaks for 15° ≤ 2θ ≤ 90°, low angle first:
2theta	intensity
17.51	51
24.20	25
26.52	100
27.12	44
31.95	91
33.52	38
35.44	35
43.64	24
44.80	49
49.58	25

7.
Theoretical X-ray powder pattern of Pr2BrCl5 for copper Kα, from a cell relaxed with GGA-PBE.
Lines closer than 0.1° are merged.

Atomic structure:
Lattice parameters (Å, degrees): 7.528 4.300 7.652 90.00 118.87 90.00
Space group Pm (No. 6)
Inequivalent atoms, fractional coordinates:
1 Pr 0.000 0.000 0.000 x1
2 Pr 0.337 0.500 0.671 x1
3 Br 0.950 0.500 0.255 x1
4 Cl 0.065 0.000 0.652 x1
5 Cl 0.274 0.500 0.033 x1
6 Cl 0.360 0.000 0.423 x1
7 Cl 0.576 0.000 0.936 x1
8 Cl 0.756 0.500 0.729 x1

Top 10 peaks for 15° ≤ 2θ ≤ 90°, low angle first:
2theta	intensity
23.05	43
24.60	40
24.77	100
33.92	90
34.28	66
34.48	89
35.68	40
41.42	61
41.59	78
42.01	65

8.
Theoretical X-ray powder pattern of Pr2Br3Cl3 for copper Kα, from a cell relaxed with GGA-PBE.
Lines closer than 0.1° are merged.

Atomic structure:
Lattice parameters (Å, degrees): 7.8074 7.8074 4.3457 90.00 90.00 120.00
Space group P-6 (No. 174)
Inequivalent atoms, fractional coordinates:
1 Pr 0.0000 0.0000 0.0000 x1
2 Pr 0.3333 0.6667 0.5000 x1
3 Br 0.0365 0.4198 0.0000 x3
4 Cl 0.2579 0.2446 0.5000 x3

Top 10 peaks for 15° ≤ 2θ ≤ 90°, low angle first:
2theta	intensity
22.78	24
24.35	31
26.36	22
30.79	47
33.59	100
35.12	23
40.00	34
40.97	63
41.56	22
63.70	31